# MgMn8O13F3
Simulated powder XRD pattern, copper Kα. Input: a structure optimized by DFT (PBE+U).
Peak positions follow from Bragg's law for the DFT cell and can differ from measured ones.

Structural model:
a b c (Å): 5.727 6.636 7.117
angles (deg): 93.11 95.19 91.27
Space group P1 (No. 1)
One atom of each set of equivalent atoms:
Mg (0.000, 0.000, 0.000) (multiplicity 1)
Mn (0.240, 0.012, 0.491) (multiplicity 1)
Mn (0.309, 0.492, 0.975) (multiplicity 1)
Mn (0.443, 0.511, 0.485) (multiplicity 1)
Mn (0.475, 0.003, 0.971) (multiplicity 1)
Mn (0.720, 0.242, 0.729) (multiplicity 1)
Mn (0.739, 0.753, 0.250) (multiplicity 1)
Mn (0.915, 0.276, 0.276) (multiplicity 1)
Mn (0.959, 0.739, 0.702) (multiplicity 1)
O (0.192, 0.299, 0.451) (multiplicity 1)
O (0.217, 0.725, 0.520) (multiplicity 1)
O (0.221, 0.781, 0.924) (multiplicity 1)
O (0.258, 0.212, 0.012) (multiplicity 1)
O (0.485, 0.041, 0.711) (multiplicity 1)
O (0.489, 0.546, 0.221) (multiplicity 1)
O (0.495, 0.455, 0.752) (multiplicity 1)
O (0.675, 0.297, 0.474) (multiplicity 1)
O (0.705, 0.710, 0.513) (multiplicity 1)
O (0.713, 0.805, 0.983) (multiplicity 1)
O (0.733, 0.200, 0.011) (multiplicity 1)
O (0.958, 0.032, 0.707) (multiplicity 1)
O (0.976, 0.987, 0.286) (multiplicity 1)
F (0.463, 0.972, 0.244) (multiplicity 1)
F (0.977, 0.453, 0.779) (multiplicity 1)
F (0.989, 0.533, 0.178) (multiplicity 1)

Largest 10 diffraction maxima, by angle, 10° ≤ 2θ ≤ 80°:
2theta, I/Imax, h k l
23.53, 54, -1 1 1
25.50, 52, 1 1 1
28.44, 59, 1 0 -2
30.90, 100, 1 -2 0
31.61, 42, 1 2 0
35.59, 32, 2 1 -1
36.09, 24, 0 2 -2
37.03, 23, 2 -1 1
51.67, 33, 0 0 4
55.49, 26, 0 4 0